Diffraction record for Li4Fe3O2F6. The powder XRD pattern is calculated, not measured: it uses the PBE+U geometry in Alexandria and Cu Kα.

Peak list (6 most intense, 2θ from 10° to 90°, most intense first)
17.81 deg, I = 1000; 42.12 deg, I = 566; 40.61 deg, I = 558; 42.84 deg, I = 541; 15.25 deg, I = 336; 60.44 deg, I = 293

Structural model:
```
Li4Fe3O2F6
1.0
5.2723 0.0000 0.0000
0.9932 5.2543 0.0000
0.2923 1.9545 5.8116
Li Fe O F
4 3 2 6
Cartesian
1.7290 3.2267 2.0233
2.1877 4.4430 5.0875
4.3701 2.7659 0.7241
4.8289 3.9821 3.7883
0.0000 0.0000 0.0000
3.6485 5.6221 1.4070
2.9093 1.5867 4.4046
2.6407 4.1785 0.4057
3.9171 3.0303 5.4059
0.9676 1.7384 0.9687
1.2563 2.9274 3.9740
3.1511 5.1383 3.4485
3.4067 2.0706 2.3632
5.3015 4.2815 1.8376
5.5902 5.4705 4.8429
```